Starting from a DFT-relaxed cell (PBE, Alexandria), the X-ray powder pattern of Tm12Tl3In was computed for Cu Kα X-rays.

Most intense lines, 2θ from 10° to 80°, in order of rising 2θ:
2θ = 32.39°, I 100; 2θ = 37.49°, I 17; 2θ = 37.61°, I 34; 2θ = 54.18°, I 35; 2θ = 64.45°, I 14; 2θ = 64.60°, I 28; 2θ = 67.80°, I 12; 2θ = 80.00°, I 2

Cell and atoms:
```
Tm12Tl3In
1.0
4.7834 0.0000 0.0000
0.0000 4.7834 0.0000
0.0000 0.0000 19.1902
Tm Tl In
12 3 1
Direct
0.0000 0.0000 0.0000
0.0000 0.0000 0.2496
0.0000 0.0000 0.5000
0.0000 0.0000 0.7504
0.0000 0.5000 0.1239
0.0000 0.5000 0.3748
0.0000 0.5000 0.6252
0.0000 0.5000 0.8761
0.5000 0.0000 0.1239
0.5000 0.0000 0.3748
0.5000 0.0000 0.6252
0.5000 0.0000 0.8761
0.5000 0.5000 0.2496
0.5000 0.5000 0.5000
0.5000 0.5000 0.7504
0.5000 0.5000 0.0000
```

Starting from a DFT-relaxed cell (PBE, Alexandria), the X-ray powder pattern of Tm5Tl3In was computed for Cu Kα X-rays.

Most intense lines, 2θ from 10° to 80°, in order of rising 2θ:
2θ = 26.94°, I 13; 2θ = 32.72°, I 38; 2θ = 33.37°, I 100; 2θ = 33.81°, I 91; 2θ = 43.23°, I 15; 2θ = 48.24°, I 28; 2θ = 51.37°, I 11; 2θ = 60.21°, I 23; 2θ = 63.47°, I 13; 2θ = 66.63°, I 26

Cell and atoms:
```
Tm5Tl3In
1.0
9.1835 0.0000 0.0000
-4.5918 7.9532 0.0000
0.0000 0.0000 6.6187
Tm Tl In
10 6 2
Direct
0.0000 0.2879 0.2500
0.0000 0.7121 0.7500
0.2879 0.0000 0.2500
0.2879 0.2879 0.7500
0.3333 0.6667 0.0000
0.3333 0.6667 0.5000
0.6667 0.3333 0.0000
0.6667 0.3333 0.5000
0.7121 0.0000 0.7500
0.7121 0.7121 0.2500
0.0000 0.3745 0.7500
0.0000 0.6255 0.2500
0.3745 0.0000 0.7500
0.3745 0.3745 0.2500
0.6255 0.0000 0.2500
0.6255 0.6255 0.7500
0.0000 0.0000 0.0000
0.0000 0.0000 0.5000
```

Starting from a DFT-relaxed cell (PBE, Alexandria), the X-ray powder pattern of Tm4TlIn5 was computed for Cu Kα X-rays.

Most intense lines, 2θ from 10° to 80°, in order of rising 2θ:
2θ = 24.79°, I 4; 2θ = 33.15°, I 100; 2θ = 35.34°, I 43; 2θ = 44.16°, I 10; 2θ = 50.84°, I 15; 2θ = 57.79°, I 18; 2θ = 62.05°, I 33; 2θ = 69.58°, I 11; 2θ = 74.22°, I 8; 2θ = 74.76°, I 5

Cell and atoms:
```
Tm4TlIn5
1.0
3.5919 0.0000 0.0000
0.0000 3.5919 0.0000
0.0000 0.0000 20.5066
Tm Tl In
4 1 5
Direct
0.0000 0.0000 0.0980
0.0000 0.0000 0.2934
0.0000 0.0000 0.7066
0.0000 0.0000 0.9020
0.0000 0.0000 0.5000
0.5000 0.5000 0.0000
0.5000 0.5000 0.1958
0.5000 0.5000 0.3898
0.5000 0.5000 0.6102
0.5000 0.5000 0.8042
```

Starting from a DFT-relaxed cell (PBE, Alexandria), the X-ray powder pattern of Tm6TlIn3 was computed for Cu Kα X-rays.

Most intense lines, 2θ from 10° to 80°, in order of rising 2θ:
2θ = 32.94°, I 89; 2θ = 33.52°, I 100; 2θ = 33.76°, I 40; 2θ = 34.91°, I 48; 2θ = 46.01°, I 16; 2θ = 49.35°, I 27; 2θ = 59.03°, I 24; 2θ = 60.61°, I 12; 2θ = 61.35°, I 16; 2θ = 61.71°, I 19

Cell and atoms:
```
Tm6TlIn3
1.0
9.6203 0.0000 0.0000
0.0000 5.1404 0.0000
-2.7872 0.0000 10.8892
Tm Tl In
12 2 6
Direct
0.0560 0.2500 0.4120
0.1543 0.7500 0.1837
0.2537 0.2500 0.9948
0.3292 0.7500 0.7999
0.3705 0.2500 0.3202
0.3995 0.2500 0.6183
0.6005 0.7500 0.3817
0.6295 0.7500 0.6798
0.6708 0.2500 0.2001
0.7463 0.7500 0.0052
0.8457 0.2500 0.8163
0.9440 0.7500 0.5880
0.4431 0.7500 0.1096
0.5569 0.2500 0.8904
0.0303 0.7500 0.8888
0.1191 0.2500 0.7083
0.2857 0.7500 0.4747
0.7143 0.2500 0.5253
0.8809 0.7500 0.2917
0.9697 0.2500 0.1112
```

Starting from a DFT-relaxed cell (PBE, Alexandria), the X-ray powder pattern of Tm8TlIn2 was computed for Cu Kα X-rays.

Most intense lines, 2θ from 10° to 80°, in order of rising 2θ:
2θ = 32.08°, I 26; 2θ = 32.41°, I 17; 2θ = 33.26°, I 100; 2θ = 35.66°, I 27; 2θ = 36.93°, I 17; 2θ = 48.96°, I 11; 2θ = 52.28°, I 13; 2θ = 62.54°, I 16; 2θ = 63.47°, I 12; 2θ = 67.09°, I 10

Cell and atoms:
```
Tm8TlIn2
1.0
-2.5175 4.2194 7.3028
2.5175 -4.2194 7.3028
2.5175 4.2194 -7.3028
Tm Tl In
8 1 2
Direct
0.1272 0.3422 0.7850
0.1445 0.1445 0.0000
0.3061 0.0000 0.3061
0.4428 0.6578 0.7850
0.5572 0.3422 0.2150
0.6939 0.0000 0.6939
0.8555 0.8555 0.0000
0.8728 0.6578 0.2150
0.0000 0.5000 0.5000
0.3043 0.8043 0.5000
0.6957 0.1957 0.5000
```

Starting from a DFT-relaxed cell (PBE, Alexandria), the X-ray powder pattern of Tm4TlIn was computed for Cu Kα X-rays.

Most intense lines, 2θ from 10° to 80°, in order of rising 2θ:
2θ = 26.53°, I 39; 2θ = 29.23°, I 14; 2θ = 31.87°, I 44; 2θ = 34.75°, I 51; 2θ = 35.89°, I 100; 2θ = 41.93°, I 23; 2θ = 58.67°, I 27; 2θ = 59.42°, I 24; 2θ = 62.41°, I 19; 2θ = 68.35°, I 20

Cell and atoms:
```
Tm4TlIn
1.0
3.6415 0.0000 0.0000
0.0000 5.6165 0.0000
0.0000 0.0000 8.7212
Tm Tl In
4 1 1
Direct
0.0000 0.0000 0.2006
0.0000 0.0000 0.7994
0.5000 0.5000 0.2964
0.5000 0.5000 0.7036
0.5000 0.0000 0.5000
0.0000 0.5000 0.0000
```

Starting from a DFT-relaxed cell (PBE, Alexandria), the X-ray powder pattern of Y4TlIn3 was computed for Cu Kα X-rays.

Most intense lines, 2θ from 10° to 80°, in order of rising 2θ:
2θ = 23.45°, I 2; 2θ = 23.62°, I 5; 2θ = 33.53°, I 100; 2θ = 33.65°, I 50; 2θ = 47.96°, I 9; 2θ = 48.33°, I 18; 2θ = 59.86°, I 18; 2θ = 60.10°, I 36; 2θ = 70.46°, I 11; 2θ = 70.76°, I 6

Cell and atoms:
```
Y4TlIn3
1.0
3.7663 0.0000 0.0000
0.0000 3.7663 0.0000
0.0000 0.0000 15.1763
Y Tl In
4 1 3
Direct
0.0000 0.0000 0.1235
0.0000 0.0000 0.3722
0.0000 0.0000 0.6278
0.0000 0.0000 0.8765
0.5000 0.5000 0.5000
0.5000 0.5000 0.0000
0.5000 0.5000 0.2479
0.5000 0.5000 0.7521
```

Starting from a DFT-relaxed cell (PBE, Alexandria), the X-ray powder pattern of Y4Tl2In was computed for Cu Kα X-rays.

Most intense lines, 2θ from 10° to 80°, in order of rising 2θ:
2θ = 21.63°, I 40; 2θ = 28.91°, I 25; 2θ = 29.88°, I 52; 2θ = 31.52°, I 64; 2θ = 32.10°, I 100; 2θ = 33.26°, I 70; 2θ = 33.34°, I 40; 2θ = 33.58°, I 35; 2θ = 37.84°, I 45; 2θ = 46.00°, I 22

Cell and atoms:
```
Y4Tl2In
1.0
6.9174 0.0000 0.0000
-2.0508 8.2212 0.0000
-2.0482 -4.1283 7.1145
Y Tl In
8 4 2
Direct
0.0000 0.0000 0.0000
0.0058 0.7059 0.5721
0.2940 0.9948 0.4159
0.3799 0.5427 0.2199
0.4994 0.9423 0.0565
0.5065 0.5144 0.7633
0.7941 0.3592 0.0531
0.8802 0.1633 0.6009
0.0918 0.3308 0.3872
0.2988 0.1556 0.8278
0.5912 0.3292 0.3876
0.7986 0.7713 0.2134
0.0592 0.6150 0.9224
0.5594 0.8644 0.6719
```

Starting from a DFT-relaxed cell (PBE, Alexandria), the X-ray powder pattern of Y2TlIn3 was computed for Cu Kα X-rays.

Most intense lines, 2θ from 10° to 80°, in order of rising 2θ:
2θ = 32.92°, I 100; 2θ = 37.47°, I 16; 2θ = 38.47°, I 17; 2θ = 38.64°, I 17; 2θ = 54.78°, I 11; 2θ = 54.91°, I 10; 2θ = 55.66°, I 11; 2θ = 64.73°, I 11; 2θ = 66.08°, I 13; 2θ = 66.32°, I 13

Cell and atoms:
```
Y2TlIn3
1.0
2.3303 -7.2013 0.0000
2.3303 7.2013 0.0000
0.0000 0.0000 4.6806
Y Tl In
2 1 3
Direct
0.1546 0.8454 0.0000
0.8454 0.1546 0.0000
0.0000 0.0000 0.5000
0.3218 0.6782 0.5000
0.5000 0.5000 0.0000
0.6782 0.3218 0.5000
```

Starting from a DFT-relaxed cell (PBE, Alexandria), the X-ray powder pattern of Y6TlIn was computed for Cu Kα X-rays.

Most intense lines, 2θ from 10° to 80°, in order of rising 2θ:
2θ = 18.22°, I 7; 2θ = 25.88°, I 6; 2θ = 31.84°, I 100; 2θ = 36.93°, I 50; 2θ = 41.47°, I 4; 2θ = 45.65°, I 3; 2θ = 53.22°, I 34; 2θ = 63.36°, I 40; 2θ = 66.53°, I 11; 2θ = 78.60°, I 5

Cell and atoms:
```
Y6TlIn
1.0
4.8671 0.0000 0.0000
0.0000 4.8671 0.0000
0.0000 0.0000 9.7420
Y Tl In
6 1 1
Direct
0.0000 0.0000 0.0000
0.0000 0.0000 0.5000
0.0000 0.5000 0.2487
0.0000 0.5000 0.7513
0.5000 0.0000 0.2487
0.5000 0.0000 0.7513
0.5000 0.5000 0.5000
0.5000 0.5000 0.0000
```

Starting from a DFT-relaxed cell (PBE, Alexandria), the X-ray powder pattern of Zr5Tl2In was computed for Cu Kα X-rays.

Most intense lines, 2θ from 10° to 80°, in order of rising 2θ:
2θ = 14.02°, I 12; 2θ = 26.84°, I 12; 2θ = 33.62°, I 100; 2θ = 36.92°, I 46; 2θ = 42.95°, I 11; 2θ = 47.16°, I 16; 2θ = 57.89°, I 10; 2θ = 65.72°, I 10; 2θ = 69.42°, I 18; 2θ = 72.74°, I 10

Cell and atoms:
```
Zr5Tl2In
1.0
-3.8495 3.8495 6.3182
3.8495 -3.8495 6.3182
3.8495 3.8495 -6.3182
Zr Tl In
10 4 2
Direct
0.0000 0.0000 0.0000
0.0089 0.5089 0.1951
0.1863 0.9911 0.5000
0.3137 0.8137 0.8049
0.4911 0.6863 0.5000
0.5000 0.5000 0.0000
0.5089 0.3137 0.5000
0.6863 0.1863 0.1951
0.8137 0.0089 0.5000
0.9911 0.4911 0.8049
0.1460 0.3540 0.5000
0.3540 0.8540 0.2080
0.6460 0.1460 0.7920
0.8540 0.6460 0.5000
0.2500 0.2500 0.0000
0.7500 0.7500 0.0000
```

Starting from a DFT-relaxed cell (PBE, Alexandria), the X-ray powder pattern of Zr5TlIn3 was computed for Cu Kα X-rays.

Most intense lines, 2θ from 10° to 80°, in order of rising 2θ:
2θ = 11.55°, I 14; 2θ = 34.34°, I 18; 2θ = 35.13°, I 98; 2θ = 36.01°, I 100; 2θ = 45.23°, I 9; 2θ = 51.19°, I 31; 2θ = 63.04°, I 12; 2θ = 63.61°, I 32; 2θ = 66.38°, I 8; 2θ = 72.76°, I 23

Cell and atoms:
```
Zr5TlIn3
1.0
8.8483 0.0000 0.0000
-4.4241 7.6628 0.0000
0.0000 0.0000 6.0389
Zr Tl In
10 2 6
Direct
0.0000 0.3004 0.2500
0.0000 0.6996 0.7500
0.3004 0.0000 0.2500
0.3004 0.3004 0.7500
0.3333 0.6667 0.0000
0.3333 0.6667 0.5000
0.6667 0.3333 0.0000
0.6667 0.3333 0.5000
0.6996 0.0000 0.7500
0.6996 0.6996 0.2500
0.0000 0.0000 0.0000
0.0000 0.0000 0.5000
0.0000 0.3696 0.7500
0.0000 0.6304 0.2500
0.3696 0.0000 0.7500
0.3696 0.3696 0.2500
0.6304 0.0000 0.2500
0.6304 0.6304 0.7500
```